MnPb3Cl8: computed powder diffractogram (Cu Kα, 1.54184 Å), based on DFT lattice parameters and positions (PBE).
Kinematic intensities with the Lorentz-polarization factor, no thermal factor.

Structure:
Cell: 8.0637 12.4162 8.2160 Å, 90.00 90.00 90.00°
Space group C222 (No. 21)
Unique sites:
Mn (0.0000, 0.0000, 0.0000)
Pb (0.0000, 0.0000, 0.5000)
Pb (0.2500, 0.2500, 0.2426)
Cl (0.0000, 0.2045, 0.0000)
Cl (0.0000, 0.2352, 0.5000)
Cl (0.2259, 0.0146, 0.2218)

Most intense lines, 15 to 90 degrees two-theta, low angle first:
(1 1 1), 2θ 16.98, I = 100
(1 1 2), 2θ 25.37, I = 15
(0 2 2), 2θ 26.01, I = 15
(2 2 0), 2θ 26.36, I = 14
(1 3 1), 2θ 26.53, I = 31
(0 4 0), 2θ 28.76, I = 31
(2 0 2), 2θ 31.08, I = 55
(1 1 3), 2θ 35.36, I = 17
(3 1 1), 2θ 35.89, I = 18
(1 5 1), 2θ 39.52, I = 15
(2 4 2), 2θ 42.85, I = 40
(0 0 4), 2θ 44.08, I = 18